Simulated powder X-ray diffraction pattern
Compound: Cs12Sn2Sb6O
Radiation: copper Kα
Structure: a DFT-relaxed cell (GGA-PBE, Alexandria)

Peak list (10 most intense, 10 to 80 degrees two-theta, in order of rising 2θ)
hkl	two_theta	d_spacing	I (rel.)
3 0 0	23.86	3.730	14
0 0 2	26.58	3.354	30
0 3 1	27.36	3.260	100
3 0 2	36.01	2.494	10
3 3 0	41.96	2.153	24
0 3 3	47.41	1.918	20
3 3 2	50.36	1.812	27
6 0 1	50.82	1.797	15
3 6 1	67.95	1.380	10
3 3 4	71.28	1.323	9

Crystal structure
```
data_Cs12Sn2Sb6O
_chemical_formula_sum 'Cs12 Sn2 Sb6 O1'
_space_group_name_H-M_alt 'P -3 m 1'
_space_group_IT_number 164
_space_group_name_Hall '-P 3 2"'
_cell_length_a 12.9200
_cell_length_b 12.9200
_cell_length_c 6.7073
_cell_angle_alpha 90.00
_cell_angle_beta 90.00
_cell_angle_gamma 120.00
loop_
_atom_site_label
_atom_site_fract_x
_atom_site_fract_y
_atom_site_fract_z
_atom_site_occupancy
Cs1 0.0929 0.5464 0.2486 1
Cs2 0.1126 0.2253 0.2743 1
Sn1 0.3333 0.6667 0.7486 1
Sb1 0.2095 0.4190 0.7540 1
O1 0.0000 0.0000 0.5000 1
```

=====

Simulated powder X-ray diffraction pattern
Compound: Cs3TmSb2O8
Radiation: copper Kα
Structure: a DFT-relaxed cell (GGA-PBE, Alexandria)

Peak list (10 most intense, 10 to 80 degrees two-theta, in order of rising 2θ)
hkl	two_theta	d_spacing	I (rel.)
0 0 1	10.21	8.665	10
1 0 2	26.28	3.391	100
1 1 0	28.38	3.145	97
2 0 2	39.06	2.306	38
2 1 2	48.98	1.860	36
3 0 0	50.24	1.816	20
1 1 4	51.20	1.784	32
2 2 0	58.71	1.573	16
1 3 2	65.42	1.427	15
3 0 4	67.28	1.392	14

Crystal structure
```
data_Cs3TmSb2O8
_chemical_formula_sum 'Cs3 Tm1 Sb2 O8'
_space_group_name_H-M_alt 'P -3 m 1'
_space_group_IT_number 164
_space_group_name_Hall '-P 3 2"'
_cell_length_a 6.2903
_cell_length_b 6.2903
_cell_length_c 8.6649
_cell_angle_alpha 90.00
_cell_angle_beta 90.00
_cell_angle_gamma 120.00
loop_
_atom_site_label
_atom_site_fract_x
_atom_site_fract_y
_atom_site_fract_z
_atom_site_occupancy
Cs1 0.0000 0.0000 0.0000 1
Cs2 0.3333 0.6667 0.7329 1
Tm1 0.0000 0.0000 0.5000 1
Sb1 0.3333 0.6667 0.2769 1
O1 0.1676 0.3352 0.3508 1
O2 0.3333 0.6667 0.0605 1
```

=====

Simulated powder X-ray diffraction pattern
Compound: Cs3TmSb2O6
Radiation: copper Kα
Structure: a DFT-relaxed cell (GGA-PBE, Alexandria)

Peak list (10 most intense, 10 to 80 degrees two-theta, in order of rising 2θ)
hkl	two_theta	d_spacing	I (rel.)
0 0 1	11.11	7.964	15
0 1 2	27.75	3.214	100
1 1 0	28.39	3.144	98
2 0 2	40.12	2.248	48
1 0 4	48.69	1.870	11
1 2 2	49.87	1.829	39
3 0 0	50.26	1.815	20
1 1 4	54.55	1.682	11
2 2 0	58.73	1.572	17
3 1 2	66.17	1.412	17

Crystal structure
```
data_Cs3TmSb2O6
_chemical_formula_sum 'Cs3 Tm1 Sb2 O6'
_space_group_name_H-M_alt 'P -3 m 1'
_space_group_IT_number 164
_space_group_name_Hall '-P 3 2"'
_cell_length_a 6.2883
_cell_length_b 6.2883
_cell_length_c 7.9642
_cell_angle_alpha 90.00
_cell_angle_beta 90.00
_cell_angle_gamma 120.00
loop_
_atom_site_label
_atom_site_fract_x
_atom_site_fract_y
_atom_site_fract_z
_atom_site_occupancy
Cs1 0.0000 0.0000 0.0000 1
Cs2 0.3333 0.6667 0.6775 1
Tm1 0.0000 0.0000 0.5000 1
Sb1 0.3333 0.6667 0.2264 1
O1 0.1712 0.3424 0.3365 1
```

=====

Simulated powder X-ray diffraction pattern
Compound: Cs2USbO6
Radiation: copper Kα
Structure: a DFT-relaxed cell (GGA-PBE, Alexandria)

Peak list (10 most intense, 10 to 80 degrees two-theta, in order of rising 2θ)
hkl	two_theta	d_spacing	I (rel.)
1 0 1	16.94	5.233	12
1 1 2	26.56	3.356	100
2 0 0	30.25	2.955	35
0 0 4	31.78	2.816	18
2 2 0	43.31	2.089	19
2 0 4	44.45	2.038	19
3 1 2	51.53	1.774	33
1 1 6	53.50	1.713	18
2 2 4	54.71	1.678	15
3 1 6	71.19	1.324	13

Crystal structure
```
data_Cs2USbO6
_chemical_formula_sum 'Cs4 U2 Sb2 O12'
_space_group_name_H-M_alt 'I 4 m m'
_space_group_IT_number 107
_space_group_name_Hall 'I 4 -2'
_cell_length_a 5.909
_cell_length_b 5.909
_cell_length_c 11.263
_cell_angle_alpha 90.00
_cell_angle_beta 90.00
_cell_angle_gamma 90.00
loop_
_atom_site_label
_atom_site_fract_x
_atom_site_fract_y
_atom_site_fract_z
_atom_site_occupancy
Cs1 0.000 0.500 0.000 1
U1 0.000 0.000 0.231 1
Sb1 0.000 0.000 0.766 1
O1 0.000 0.000 0.062 1
O2 0.000 0.000 0.400 1
O3 0.235 0.235 0.723 1
```

=====

Simulated powder X-ray diffraction pattern
Compound: CsU2SbO8
Radiation: copper Kα
Structure: a DFT-relaxed cell (GGA-PBE, Alexandria)

Peak list (10 most intense, 10 to 80 degrees two-theta, in order of rising 2θ)
hkl	two_theta	d_spacing	I (rel.)
1 0 0	16.39	5.407	39
1 1 0	22.62	3.931	100
1 -1 0	23.89	3.724	79
1 0 2	29.63	3.015	87
1 0 -2	29.98	2.981	76
0 2 0	33.13	2.704	51
2 1 2	44.07	2.055	37
2 1 -2	44.81	2.022	34
2 -1 2	45.75	1.983	28
-2 1 2	45.99	1.974	26

Crystal structure
```
data_CsU2SbO8
_chemical_formula_sum 'Cs1 U2 Sb1 O8'
_space_group_name_H-M_alt 'P -1'
_space_group_IT_number 2
_space_group_name_Hall '-P 1'
_cell_length_a 5.409
_cell_length_b 5.422
_cell_length_c 7.205
_cell_angle_alpha 89.26
_cell_angle_beta 89.24
_cell_angle_gamma 86.89
loop_
_atom_site_label
_atom_site_fract_x
_atom_site_fract_y
_atom_site_fract_z
_atom_site_occupancy
Cs1 0.000 0.000 0.000 1
U1 0.495 0.494 0.256 1
Sb1 0.000 0.000 0.500 1
O1 0.235 0.761 0.705 1
O2 0.242 0.768 0.295 1
O3 0.318 0.321 0.485 1
O4 0.347 0.351 0.973 1
```

=====

Simulated powder X-ray diffraction pattern
Compound: CsUSbO6
Radiation: copper Kα
Structure: a DFT-relaxed cell (GGA-PBE, Alexandria)

Peak list (10 most intense, 10 to 80 degrees two-theta, in order of rising 2θ)
hkl	two_theta	d_spacing	I (rel.)
1 0 1	14.44	6.134	45
1 1 2	23.12	3.847	17
1 2 1	26.70	3.339	100
0 1 3	26.96	3.307	25
1 0 3	27.32	3.265	40
0 2 2	27.76	3.214	85
2 0 2	29.12	3.067	51
3 2 1	43.90	2.062	21
2 2 4	47.26	1.923	51
2 4 2	55.01	1.669	17

Crystal structure
```
data_CsUSbO6
_chemical_formula_sum 'Cs4 U4 Sb4 O24'
_space_group_name_H-M_alt 'I m m a'
_space_group_IT_number 74
_space_group_name_Hall '-I 2b 2'
_cell_length_a 7.418
_cell_length_b 7.960
_cell_length_c 10.908
_cell_angle_alpha 90.00
_cell_angle_beta 90.00
_cell_angle_gamma 90.00
loop_
_atom_site_label
_atom_site_fract_x
_atom_site_fract_y
_atom_site_fract_z
_atom_site_occupancy
Cs1 0.000 0.250 0.113 1
U1 0.000 0.000 0.500 1
Sb1 0.250 0.250 0.750 1
O1 0.000 0.250 0.432 1
O2 0.000 0.250 0.817 1
O3 0.195 0.070 0.625 1
```